For Mn21Nb2B6, a structure optimized by DFT (GGA-PBE) gives the simulated powder diffraction line list in this record (Cu Kα).
Intensities are scaled so that the largest is 100.

Structural model:
```
data_Mn21Nb2B6
_chemical_formula_sum 'Mn84 Nb8 B24'
_space_group_name_H-M_alt 'F m -3 m'
_space_group_IT_number 225
_space_group_name_Hall '-F 4 2 3'
_cell_length_a 10.632
_cell_length_b 10.632
_cell_length_c 10.632
_cell_angle_alpha 90.00
_cell_angle_beta 90.00
_cell_angle_gamma 90.00
loop_
_atom_site_label
_atom_site_type_symbol
_atom_site_fract_x
_atom_site_fract_y
_atom_site_fract_z
Mn1 Mn 0.000 0.000 0.000
Mn2 Mn 0.000 0.173 0.173
Mn3 Mn 0.116 0.116 0.384
Nb1 Nb 0.250 0.250 0.250
B1 B 0.000 0.000 0.270
```

The 10 most intense peaks (2θ from 10° to 90°), most intense first:
2theta  I (rel.)
44.27  100
41.61  43
37.84  42
48.43  30
75.94  29
50.80  27
57.50  13
77.79  12
73.44  11
16.68  6

=====

For Nd2MnB10, a structure optimized by DFT (GGA-PBE) gives the simulated powder diffraction line list in this record (Cu Kα).
Intensities are scaled so that the largest is 100.

Structural model:
```
data_Nd2MnB10
_chemical_formula_sum 'Nd4 Mn2 B20'
_space_group_name_H-M_alt 'P b a m'
_space_group_IT_number 55
_space_group_name_Hall '-P 2 2ab'
_cell_length_a 5.690
_cell_length_b 11.330
_cell_length_c 4.190
_cell_angle_alpha 90.00
_cell_angle_beta 90.00
_cell_angle_gamma 90.00
loop_
_atom_site_label
_atom_site_type_symbol
_atom_site_fract_x
_atom_site_fract_y
_atom_site_fract_z
Nd1 Nd 0.203 0.135 0.000
Mn1 Mn 0.000 0.500 0.500
B1 B 0.041 0.312 0.500
B2 B 0.127 0.960 0.500
B3 B 0.149 0.803 0.500
B4 B 0.208 0.386 0.202
```

The 10 most intense peaks (2θ from 10° to 90°), most intense first:
2theta  I (rel.)
30.85  100
22.14  68
38.36  44
38.24  34
49.05  28
21.20  27
45.17  21
27.58  17
31.59  17
43.18  17

=====

For Mn3Ni20B6, a structure optimized by DFT (GGA-PBE) gives the simulated powder diffraction line list in this record (Cu Kα).
Intensities are scaled so that the largest is 100.

Structural model:
```
data_Mn3Ni20B6
_chemical_formula_sum 'Mn12 Ni80 B24'
_space_group_name_H-M_alt 'F m -3 m'
_space_group_IT_number 225
_space_group_name_Hall '-F 4 2 3'
_cell_length_a 10.502
_cell_length_b 10.502
_cell_length_c 10.502
_cell_angle_alpha 90.00
_cell_angle_beta 90.00
_cell_angle_gamma 90.00
loop_
_atom_site_label
_atom_site_type_symbol
_atom_site_fract_x
_atom_site_fract_y
_atom_site_fract_z
Mn1 Mn 0.000 0.000 0.000
Mn2 Mn 0.250 0.250 0.250
Ni1 Ni 0.000 0.170 0.170
Ni2 Ni 0.117 0.117 0.383
B1 B 0.000 0.000 0.271
```

The 10 most intense peaks (2θ from 10° to 90°), most intense first:
2theta  I (rel.)
44.84  100
51.48  29
42.15  25
38.33  24
77.05  20
49.07  19
52.26  13
78.94  12
83.94  7
34.15  7

=====

For NpMnB4, a structure optimized by DFT (GGA-PBE) gives the simulated powder diffraction line list in this record (Cu Kα).
Intensities are scaled so that the largest is 100.

Structural model:
```
data_NpMnB4
_chemical_formula_sum 'Np4 Mn4 B16'
_space_group_name_H-M_alt 'P b a m'
_space_group_IT_number 55
_space_group_name_Hall '-P 2 2ab'
_cell_length_a 5.896
_cell_length_b 11.417
_cell_length_c 3.374
_cell_angle_alpha 90.00
_cell_angle_beta 90.00
_cell_angle_gamma 90.00
loop_
_atom_site_label
_atom_site_type_symbol
_atom_site_fract_x
_atom_site_fract_y
_atom_site_fract_z
Np1 Np 0.125 0.150 0.000
Mn1 Mn 0.132 0.411 0.000
B1 B 0.026 0.691 0.500
B2 B 0.113 0.546 0.500
B3 B 0.137 0.967 0.500
B4 B 0.218 0.815 0.500
```

The 10 most intense peaks (2θ from 10° to 90°), most intense first:
2theta  I (rel.)
41.44  100
31.34  90
26.42  67
21.67  42
38.80  39
27.90  39
34.42  32
64.13  24
57.94  21
44.32  20